The following is a theoretical XRD peak list of Ag2HgI4. It was derived from a PBE-relaxed structure, using Cu Kα X-rays.
Lines closer than 0.1° are merged.

Structural model:
a b c (Å): 4.656 4.656 50.309
angles (deg): 91.85 91.85 67.88
Positions (direct):
1 Ag 0.000 0.000 0.000
2 Ag 0.100 0.100 0.441
3 Ag 0.183 0.183 0.853
4 Ag 0.502 0.502 0.516
5 Ag 0.593 0.593 0.926
6 Ag 0.692 0.692 0.367
7 Hg 0.314 0.314 0.288
8 Hg 0.372 0.372 0.088
9 Hg 0.829 0.829 0.189
10 I 0.045 0.045 0.059
11 I 0.146 0.146 0.496
12 I 0.228 0.228 0.914
13 I 0.329 0.329 0.349
14 I 0.443 0.443 0.712
15 I 0.501 0.501 0.138
16 I 0.557 0.557 0.570
17 I 0.636 0.636 0.987
18 I 0.738 0.738 0.423
19 I 0.820 0.820 0.840
20 I 0.902 0.902 0.270
21 I 0.937 0.937 0.691

Principal peaks in the range 2θ = 10–90°, in order of rising 2θ:
d_spacing, 2θ/deg, Rel. int.
4.107, 21.64, 19
3.995, 22.25, 100
3.794, 23.45, 62
3.591, 24.80, 31
2.599, 34.50, 43
2.392, 37.60, 17
2.296, 39.24, 43
2.278, 39.56, 29
2.144, 42.14, 25
2.106, 42.95, 19

=====

The following is a theoretical XRD peak list of Ag2HgI4. It was derived from a PBE-relaxed structure, using Cu Kα X-rays.
Lines closer than 0.1° are merged.

Structural model:
a b c (Å): 6.566 6.566 6.500
angles (deg): 90.00 90.00 90.00
Positions (direct):
1 Ag 0.000 0.500 0.000
2 Ag 0.500 0.000 0.000
3 Hg 0.000 0.000 0.500
4 I 0.261 0.261 0.260
5 I 0.261 0.739 0.740
6 I 0.739 0.261 0.740
7 I 0.739 0.739 0.260

Principal peaks in the range 2θ = 10–90°, in order of rising 2θ:
d_spacing, 2θ/deg, Rel. int.
6.566, 13.48, 11
4.620, 19.21, 14
3.778, 23.55, 100
2.322, 38.79, 26
2.310, 39.00, 52
1.978, 45.88, 32
1.963, 46.24, 16
1.642, 56.02, 9
1.499, 61.89, 13
1.338, 70.36, 17

=====

The following is a theoretical XRD peak list of Ag2HgI4. It was derived from a PBE-relaxed structure, using Cu Kα X-rays.
Lines closer than 0.1° are merged.

Structural model:
a b c (Å): 8.075 8.075 8.075
angles (deg): 131.57 131.57 70.91
Positions (direct):
1 Ag 0.250 0.750 0.500
2 Ag 0.750 0.250 0.500
3 Hg 0.000 0.000 0.000
4 I 0.126 0.126 0.502
5 I 0.376 0.874 0.000
6 I 0.624 0.624 0.498
7 I 0.874 0.376 0.000

Principal peaks in the range 2θ = 10–90°, in order of rising 2θ:
d_spacing, 2θ/deg, Rel. int.
5.917, 14.97, 24
3.816, 23.31, 100
2.890, 30.94, 9
2.342, 38.44, 27
2.334, 38.58, 53
1.996, 45.44, 33
1.986, 45.69, 16
1.656, 55.49, 9
1.515, 61.19, 14
1.351, 69.61, 18